Structure and theoretical powder X-ray diffraction pattern of V2P3O12 (a PBE+U-relaxed structure; λ = 1.5418 Å (Cu Kα)).
Kinematic intensities with the Lorentz-polarization factor, no thermal factor.

Atomic structure:
```
V2P3O12
1.0
8.433 0.000 0.000
4.199 7.348 0.000
4.161 2.452 7.275
V P O
4 6 24
Direct
0.141 0.136 0.079
0.355 0.362 0.428
0.645 0.638 0.572
0.859 0.864 0.921
0.025 0.467 0.254
0.249 0.968 0.751
0.467 0.751 0.251
0.533 0.249 0.749
0.751 0.032 0.249
0.975 0.533 0.746
0.006 0.362 0.920
0.087 0.912 0.773
0.092 0.279 0.215
0.157 0.528 0.581
0.191 0.461 0.290
0.199 0.992 0.936
0.241 0.158 0.595
0.273 0.915 0.232
0.371 0.192 0.923
0.440 0.805 0.721
0.469 0.564 0.265
0.489 0.740 0.422
0.511 0.260 0.578
0.531 0.436 0.735
0.560 0.195 0.279
0.629 0.808 0.077
0.727 0.085 0.768
0.759 0.842 0.405
0.801 0.008 0.064
0.809 0.539 0.710
0.843 0.472 0.419
0.908 0.721 0.785
0.913 0.088 0.227
0.994 0.638 0.080
```

Peak list (10 most intense, 2θ from 10° to 90°, sorted by position)
two_theta	I (rel.)
14.56	75
20.26	56
20.37	26
24.31	100
24.37	26
24.47	35
29.32	47
29.46	24
32.39	23
32.51	25